Starting from the GGA-PBE geometry in Alexandria, the PXRD pattern of Si2Ge5N6 was simulated for Cu Kα.
Kinematic intensities with the Lorentz-polarization factor, no thermal factor.

Cell and atoms:
```
data_Si2Ge5N6
_chemical_formula_sum 'Si8 Ge20 N24'
_space_group_name_H-M_alt 'C 1 2/c 1'
_space_group_IT_number 15
_space_group_name_Hall '-C 2yc'
_cell_length_a 9.7913
_cell_length_b 5.3516
_cell_length_c 15.4388
_cell_angle_alpha 90.00
_cell_angle_beta 101.91
_cell_angle_gamma 90.00
loop_
_atom_site_label
_atom_site_type_symbol
_atom_site_fract_x
_atom_site_fract_y
_atom_site_fract_z
Si1 Si 0.0008 0.0689 0.0750
Ge1 Ge 0.0000 0.3051 0.2500
Ge2 Ge 0.1745 0.3388 0.8556
Ge3 Ge 0.1772 0.4920 0.5364
N1 N 0.0666 0.1970 0.5313
N2 N 0.1299 0.2693 0.1293
N3 N 0.1365 0.0129 0.3728
```

Top 12 peaks for 2θ from 10° to 90°, sorted by position:
2θ/deg	I (rel.)	h k l
11.7	55	0 0 2
19.8	41	2 0 -2
20.5	51	1 1 1
26.9	72	2 0 -4
27.3	83	1 1 3
28.9	66	1 1 -4
32.1	45	3 1 -1
32.7	100	3 1 0
35.6	44	0 2 2
43.9	48	2 0 6
46.6	37	4 0 -6
53.2	37	1 3 -2